Structure and simulated powder diffractogram of Mg3Tl (a GGA-PBE-relaxed structure; copper Kα).

Crystal structure
```
data_Mg3Tl
_chemical_formula_sum 'Mg6 Tl2'
_symmetry_space_group_name_H-M 'I 4/m m m'
_symmetry_Int_Tables_number 139
_symmetry_space_group_name_Hall '-I 4 2'
_cell_length_a 4.495
_cell_length_b 4.495
_cell_length_c 9.218
_cell_angle_alpha 90.00
_cell_angle_beta 90.00
_cell_angle_gamma 90.00
loop_
_atom_site_label
_atom_site_fract_x
_atom_site_fract_y
_atom_site_fract_z
Mg1 0.000 0.000 0.000
Mg2 0.000 0.500 0.250
Tl1 0.000 0.000 0.500
```

Peak list (10 most intense, 10 to 90 degrees two-theta, sorted by position)
d/Å  two_theta  I/Imax
4.609  19.26  340
4.041  22.00  1000
3.179  28.07  278
2.617  34.27  851
2.537  35.39  307
2.248  40.12  276
1.964  46.22  296
1.682  54.55  184
1.609  57.25  195
1.359  69.15  312

***

Structure and simulated powder diffractogram of Mg2Tl (a GGA-PBE-relaxed structure; copper Kα).

Crystal structure
```
data_Mg2Tl
_chemical_formula_sum 'Mg6 Tl3'
_symmetry_space_group_name_H-M 'P -6 2 m'
_symmetry_Int_Tables_number 189
_symmetry_space_group_name_Hall 'P -6 -2'
_cell_length_a 8.3593
_cell_length_b 8.3593
_cell_length_c 3.5804
_cell_angle_alpha 90.00
_cell_angle_beta 90.00
_cell_angle_gamma 120.00
loop_
_atom_site_label
_atom_site_fract_x
_atom_site_fract_y
_atom_site_fract_z
Mg1 0.0000 0.3715 0.0000
Mg2 0.0000 0.7137 0.5000
Tl1 0.0000 0.0000 0.0000
Tl2 0.3333 0.6667 0.5000
```

Peak list (10 most intense, 10 to 90 degrees two-theta, sorted by position)
d/Å  two_theta  I/Imax
4.180  21.26  1000
3.209  27.80  533
2.546  35.26  404
2.413  37.26  462
2.174  41.54  448
2.090  43.29  172
1.751  52.23  169
1.646  55.87  158
1.507  61.55  179
1.438  64.85  184

***

Structure and simulated powder diffractogram of MgTl (a GGA-PBE-relaxed structure; copper Kα).

Crystal structure
```
data_MgTl
_chemical_formula_sum 'Mg1 Tl1'
_symmetry_space_group_name_H-M 'P m -3 m'
_symmetry_Int_Tables_number 221
_symmetry_space_group_name_Hall '-P 4 2 3'
_cell_length_a 3.691
_cell_length_b 3.691
_cell_length_c 3.691
_cell_angle_alpha 90.00
_cell_angle_beta 90.00
_cell_angle_gamma 90.00
loop_
_atom_site_label
_atom_site_fract_x
_atom_site_fract_y
_atom_site_fract_z
Mg1 0.000 0.000 0.000
Tl1 0.500 0.500 0.500
```

Peak list (10 most intense, 10 to 90 degrees two-theta, sorted by position)
d/Å  two_theta  I/Imax
3.691  24.11  720
2.610  34.36  1000
2.131  42.41  224
1.846  49.38  182
1.651  55.68  310
1.507  61.54  378
1.305  72.42  117
1.230  77.59  151
1.167  82.67  166
1.113  87.68  93

***

Structure and simulated powder diffractogram of Tm5Mg24 (a GGA-PBE-relaxed structure; copper Kα).

Crystal structure
```
data_Tm5Mg24
_chemical_formula_sum 'Tm10 Mg48'
_symmetry_space_group_name_H-M 'I -4 3 m'
_symmetry_Int_Tables_number 217
_symmetry_space_group_name_Hall 'I -4 2 3'
_cell_length_a 11.210
_cell_length_b 11.210
_cell_length_c 11.210
_cell_angle_alpha 90.00
_cell_angle_beta 90.00
_cell_angle_gamma 90.00
loop_
_atom_site_label
_atom_site_fract_x
_atom_site_fract_y
_atom_site_fract_z
Tm1 0.000 0.000 0.000
Tm2 0.186 0.186 0.186
Mg1 0.034 0.357 0.643
Mg2 0.090 0.090 0.719
```

Peak list (10 most intense, 10 to 90 degrees two-theta, sorted by position)
d/Å  two_theta  I/Imax
7.927  11.16  288
4.577  19.40  389
3.963  22.43  183
2.996  29.82  279
2.642  33.93  1000
2.288  39.38  127
1.819  50.17  210
1.585  58.19  108
1.526  60.71  254
1.132  85.81  122

***

Structure and simulated powder diffractogram of Tm5Mg (a GGA-PBE-relaxed structure; copper Kα).

Crystal structure
```
data_Tm5Mg
_chemical_formula_sum 'Tm15 Mg3'
_symmetry_space_group_name_H-M 'R 3 2'
_symmetry_Int_Tables_number 155
_symmetry_space_group_name_Hall 'R 3 2"'
_cell_length_a 6.0377
_cell_length_b 6.0377
_cell_length_c 16.4663
_cell_angle_alpha 90.00
_cell_angle_beta 90.00
_cell_angle_gamma 120.00
loop_
_atom_site_label
_atom_site_fract_x
_atom_site_fract_y
_atom_site_fract_z
Tm1 0.0000 0.0000 0.1677
Tm2 0.0000 0.6632 0.0000
Mg1 0.0000 0.0000 0.5000
```

Peak list (10 most intense, 10 to 90 degrees two-theta, sorted by position)
d/Å  two_theta  I/Imax
3.019  29.59  255
2.744  32.63  244
2.645  33.89  1000
2.031  44.62  167
1.743  52.50  192
1.565  59.04  205
1.471  63.20  220
1.455  63.97  161
1.164  82.92  79
1.117  87.27  141

***

Structure and simulated powder diffractogram of TmMg5 (a GGA-PBE-relaxed structure; copper Kα).

Crystal structure
```
data_TmMg5
_chemical_formula_sum 'Tm2 Mg10'
_symmetry_space_group_name_H-M 'C 1 m 1'
_symmetry_Int_Tables_number 8
_cell_length_a 12.199
_cell_length_b 3.393
_cell_length_c 7.395
_cell_angle_alpha 90.00
_cell_angle_beta 106.31
_cell_angle_gamma 90.00
loop_
_symmetry_equiv_pos_as_xyz
'x,y,z'
'x,-y,z'
'x+1/2,y+1/2,z'
'x+1/2,-y+1/2,z'
loop_
_atom_site_label
_atom_site_fract_x
_atom_site_fract_y
_atom_site_fract_z
Tm1 0.000 0.000 0.000
Mg1 0.135 0.500 0.752
Mg2 0.174 0.500 0.347
Mg3 0.289 0.000 0.093
Mg4 0.332 0.000 0.667
Mg5 0.463 0.500 0.428
```

Peak list (10 most intense, 10 to 90 degrees two-theta, sorted by position)
d/Å  two_theta  I/Imax
7.098  12.47  1000
5.854  15.13  640
5.307  16.71  560
3.259  27.37  365
3.054  29.25  311
2.878  31.08  362
2.716  32.99  313
2.653  33.78  444
2.561  35.03  901
2.500  35.93  681

***

Structure and simulated powder diffractogram of Tm3Mg (a GGA-PBE-relaxed structure; copper Kα).

Crystal structure
```
data_Tm3Mg
_chemical_formula_sum 'Tm3 Mg1'
_symmetry_space_group_name_H-M 'P 4/m m m'
_symmetry_Int_Tables_number 123
_symmetry_space_group_name_Hall '-P 4 2'
_cell_length_a 3.528
_cell_length_b 3.528
_cell_length_c 9.171
_cell_angle_alpha 90.00
_cell_angle_beta 90.00
_cell_angle_gamma 90.00
loop_
_atom_site_label
_atom_site_fract_x
_atom_site_fract_y
_atom_site_fract_z
Tm1 0.000 0.000 0.000
Tm2 0.500 0.500 0.259
Mg1 0.000 0.000 0.500
```

Peak list (10 most intense, 10 to 90 degrees two-theta, sorted by position)
d/Å  two_theta  I/Imax
3.293  27.08  143
2.796  32.01  1000
2.495  36.00  368
2.293  39.30  140
1.764  51.82  131
1.688  54.34  220
1.492  62.22  300
1.402  66.69  121
1.398  66.92  118
1.098  89.21  110

***

Structure and simulated powder diffractogram of TmMg5 (a GGA-PBE-relaxed structure; copper Kα).

Crystal structure
```
data_TmMg5
_chemical_formula_sum 'Tm2 Mg10'
_symmetry_space_group_name_H-M 'A m m 2'
_symmetry_Int_Tables_number 38
_cell_length_a 5.371
_cell_length_b 3.223
_cell_length_c 16.994
_cell_angle_alpha 90.00
_cell_angle_beta 90.00
_cell_angle_gamma 90.00
loop_
_symmetry_equiv_pos_as_xyz
'x,y,z'
'-x,-y,z'
'-x,y,z'
'x,-y,z'
'x,y+1/2,z+1/2'
'-x,-y+1/2,z+1/2'
'-x,y+1/2,z+1/2'
'x,-y+1/2,z+1/2'
loop_
_atom_site_label
_atom_site_fract_x
_atom_site_fract_y
_atom_site_fract_z
Tm1 0.000 0.000 0.000
Mg1 0.000 0.000 0.328
Mg2 0.000 0.000 0.668
Mg3 0.500 0.000 0.219
Mg4 0.500 0.000 0.556
Mg5 0.500 0.000 0.884
```

Peak list (10 most intense, 10 to 90 degrees two-theta, sorted by position)
d/Å  two_theta  I/Imax
8.497  10.41  1000
5.371  16.51  391
4.540  19.55  528
3.332  26.76  277
2.802  31.94  289
2.728  32.83  304
2.685  33.37  315
2.505  35.84  404
2.484  36.16  829
1.939  46.86  265

***

Structure and simulated powder diffractogram of TmMg5 (a GGA-PBE-relaxed structure; copper Kα).

Crystal structure
```
data_TmMg5
_chemical_formula_sum 'Tm1 Mg5'
_symmetry_space_group_name_H-M 'P -6 m 2'
_symmetry_Int_Tables_number 187
_symmetry_space_group_name_Hall 'P -6 2'
_cell_length_a 3.2544
_cell_length_b 3.2544
_cell_length_c 15.8868
_cell_angle_alpha 90.00
_cell_angle_beta 90.00
_cell_angle_gamma 120.00
loop_
_atom_site_label
_atom_site_fract_x
_atom_site_fract_y
_atom_site_fract_z
Tm1 0.0000 0.0000 0.0000
Mg1 0.0000 0.0000 0.3384
Mg2 0.3333 0.6667 0.1763
Mg3 0.3333 0.6667 0.5000
```

Peak list (10 most intense, 10 to 90 degrees two-theta, sorted by position)
d/Å  two_theta  I/Imax
7.943  11.14  717
5.296  16.74  312
2.818  31.75  371
2.775  32.26  385
2.656  33.74  369
2.648  33.85  241
2.488  36.10  1000
2.298  39.19  195
1.930  47.09  248
1.387  67.56  239

***

Structure and simulated powder diffractogram of Tm5Mg (a GGA-PBE-relaxed structure; copper Kα).

Crystal structure
```
data_Tm5Mg
_chemical_formula_sum 'Tm10 Mg2'
_symmetry_space_group_name_H-M 'A m m 2'
_symmetry_Int_Tables_number 38
_cell_length_a 5.504
_cell_length_b 3.508
_cell_length_c 18.175
_cell_angle_alpha 90.00
_cell_angle_beta 90.00
_cell_angle_gamma 90.00
loop_
_symmetry_equiv_pos_as_xyz
'x,y,z'
'-x,-y,z'
'-x,y,z'
'x,-y,z'
'x,y+1/2,z+1/2'
'-x,-y+1/2,z+1/2'
'-x,y+1/2,z+1/2'
'x,-y+1/2,z+1/2'
loop_
_atom_site_label
_atom_site_fract_x
_atom_site_fract_y
_atom_site_fract_z
Tm1 0.000 0.000 0.000
Tm2 0.000 0.000 0.330
Tm3 0.000 0.000 0.667
Tm4 0.500 0.000 0.113
Tm5 0.500 0.000 0.447
Mg1 0.500 0.000 0.777
```

Peak list (10 most intense, 10 to 90 degrees two-theta, sorted by position)
d/Å  two_theta  I/Imax
3.033  29.45  255
2.752  32.54  243
2.657  33.73  1000
2.038  44.45  167
1.754  52.15  68
1.750  52.27  127
1.570  58.82  210
1.479  62.82  74
1.477  62.94  146
1.463  63.58  101

***

Structure and simulated powder diffractogram of Tm3Mg (a GGA-PBE-relaxed structure; copper Kα).

Crystal structure
```
data_Tm3Mg
_chemical_formula_sum 'Tm6 Mg2'
_symmetry_space_group_name_H-M 'P 63/m m c'
_symmetry_Int_Tables_number 194
_symmetry_space_group_name_Hall '-P 6c 2c'
_cell_length_a 6.9164
_cell_length_b 6.9164
_cell_length_c 5.4981
_cell_angle_alpha 90.00
_cell_angle_beta 90.00
_cell_angle_gamma 120.00
loop_
_atom_site_label
_atom_site_fract_x
_atom_site_fract_y
_atom_site_fract_z
Tm1 0.1687 0.3375 0.2500
Mg1 0.3333 0.6667 0.7500
```

Peak list (10 most intense, 10 to 90 degrees two-theta, sorted by position)
d/Å  two_theta  I/Imax
4.050  21.94  232
2.995  29.83  237
2.749  32.57  251
2.630  34.09  1000
2.025  44.75  157
1.729  52.96  192
1.563  59.10  207
1.464  63.57  221
1.445  64.49  159
1.109  88.11  140

***

Structure and simulated powder diffractogram of MgU (a GGA-PBE-relaxed structure; copper Kα).

Crystal structure
```
data_MgU
_chemical_formula_sum 'Mg2 U2'
_symmetry_space_group_name_H-M 'P m m a'
_symmetry_Int_Tables_number 51
_cell_length_a 4.798
_cell_length_b 2.800
_cell_length_c 6.198
_cell_angle_alpha 90.00
_cell_angle_beta 90.00
_cell_angle_gamma 90.00
loop_
_symmetry_equiv_pos_as_xyz
'x,y,z'
'-x,-y,-z'
'-x+1/2,-y,z'
'x+1/2,y,-z'
'x+1/2,-y,-z'
'-x+1/2,y,z'
'-x,y,-z'
'x,-y,z'
loop_
_atom_site_label
_atom_site_fract_x
_atom_site_fract_y
_atom_site_fract_z
Mg1 0.250 0.000 0.118
U1 0.250 0.500 0.591
```

Peak list (10 most intense, 10 to 90 degrees two-theta, sorted by position)
d/Å  two_theta  I/Imax
6.198  14.29  1000
3.794  23.45  242
2.800  31.96  210
2.603  34.45  461
2.552  35.17  359
2.399  37.49  219
2.253  40.02  224
1.907  47.70  230
1.748  52.34  236
1.571  58.78  263

***

Structure and simulated powder diffractogram of Mg3V (a GGA-PBE-relaxed structure; copper Kα).

Crystal structure
```
data_Mg3V
_chemical_formula_sum 'Mg12 V4'
_symmetry_space_group_name_H-M 'F m -3 m'
_symmetry_Int_Tables_number 225
_symmetry_space_group_name_Hall '-F 4 2 3'
_cell_length_a 6.878
_cell_length_b 6.878
_cell_length_c 6.878
_cell_angle_alpha 90.00
_cell_angle_beta 90.00
_cell_angle_gamma 90.00
loop_
_atom_site_label
_atom_site_fract_x
_atom_site_fract_y
_atom_site_fract_z
Mg1 0.000 0.000 0.000
Mg2 0.250 0.250 0.250
V1 0.000 0.000 0.500
```

Peak list (10 most intense, 10 to 90 degrees two-theta, sorted by position)
d/Å  two_theta  I/Imax
3.971  22.39  97
3.439  25.91  50
2.432  36.97  1000
2.074  43.65  43
1.986  45.69  12
1.720  53.27  163
1.578  58.49  16
1.538  60.17  14
1.404  66.61  316
1.216  78.70  94

***

Structure and simulated powder diffractogram of Mg3V (a GGA-PBE-relaxed structure; copper Kα).

Crystal structure
```
data_Mg3V
_chemical_formula_sum 'Mg6 V2'
_symmetry_space_group_name_H-M 'P 63/m m c'
_symmetry_Int_Tables_number 194
_symmetry_space_group_name_Hall '-P 6c 2c'
_cell_length_a 6.1865
_cell_length_b 6.1865
_cell_length_c 4.9523
_cell_angle_alpha 90.00
_cell_angle_beta 90.00
_cell_angle_gamma 120.00
loop_
_atom_site_label
_atom_site_fract_x
_atom_site_fract_y
_atom_site_fract_z
Mg1 0.1711 0.3423 0.2500
V1 0.3333 0.6667 0.7500
```

Peak list (10 most intense, 10 to 90 degrees two-theta, sorted by position)
d/Å  two_theta  I/Imax
5.358  16.55  81
3.637  24.48  112
2.679  33.45  244
2.476  36.28  259
2.356  38.20  1000
1.818  50.17  145
1.547  59.80  163
1.405  66.54  174
1.312  71.99  179
1.293  73.20  127

***

Structure and simulated powder diffractogram of Mg3V (a GGA-PBE-relaxed structure; copper Kα).

Crystal structure
```
data_Mg3V
_chemical_formula_sum 'Mg3 V1'
_symmetry_space_group_name_H-M 'P m m 2'
_symmetry_Int_Tables_number 25
_cell_length_a 2.998
_cell_length_b 4.984
_cell_length_c 5.439
_cell_angle_alpha 90.00
_cell_angle_beta 90.00
_cell_angle_gamma 90.00
loop_
_symmetry_equiv_pos_as_xyz
'x,y,z'
'-x,-y,z'
'-x,y,z'
'x,-y,z'
loop_
_atom_site_label
_atom_site_fract_x
_atom_site_fract_y
_atom_site_fract_z
Mg1 0.000 0.000 0.000
Mg2 0.000 0.500 0.323
Mg3 0.500 0.000 0.519
V1 0.500 0.500 0.825
```

Peak list (10 most intense, 10 to 90 degrees two-theta, sorted by position)
d/Å  two_theta  I/Imax
5.439  16.30  160
2.625  34.15  335
2.492  36.04  437
2.387  37.68  650
2.323  38.77  1000
1.807  50.50  205
1.551  59.60  176
1.404  66.62  181
1.317  71.66  194
1.269  74.79  150